BaYVCuO5: theoretical X-ray powder pattern (λ = 1.5418 Å (Cu Kα)), based on the GGA+U geometry in Alexandria.
Peak positions follow from Bragg's law for the DFT cell and can differ from measured ones.

Crystal structure
```
data_BaYVCuO5
_chemical_formula_sum 'Ba1 Y1 V1 Cu1 O5'
_cell_length_a 3.926
_cell_length_b 3.926
_cell_length_c 7.956
_cell_angle_alpha 90.00
_cell_angle_beta 90.00
_cell_angle_gamma 90.00
_symmetry_space_group_name_H-M 'P 4 m m'
_symmetry_Int_Tables_number 99
_symmetry_space_group_name_Hall 'P 4 -2'
loop_
_atom_site_label
_atom_site_fract_x
_atom_site_fract_y
_atom_site_fract_z
Ba1 0.000 0.000 0.000
Y1 0.000 0.000 0.441
V1 0.500 0.500 0.684
Cu1 0.500 0.500 0.263
O1 0.000 0.500 0.261
O2 0.000 0.500 0.622
O3 0.500 0.500 0.908
```

Most intense lines, 10° ≤ 2θ ≤ 80°, most intense first:
d/Å, intensity, index
2.795, 100, 1 0 2
2.776, 45, 1 1 0
1.606, 36, 2 1 2
1.963, 33, 2 0 0
2.277, 14, 1 1 2
2.198, 12, 1 0 3
1.617, 11, 1 1 4
7.956, 10, 0 0 1
1.388, 10, 2 2 0
3.926, 9, 1 0 0